For Pr2Cu2Sn3, a cell relaxed with GGA-PBE gives the simulated PXRD pattern in this record (Cu Kα).
Peak positions follow from Bragg's law for the DFT cell and can differ from measured ones.

Atomic structure:
```
data_Pr2Cu2Sn3
_chemical_formula_sum 'Pr8 Cu8 Sn12'
_space_group_name_H-M_alt 'C m c m'
_space_group_IT_number 63
_space_group_name_Hall '-C 2c 2'
_cell_length_a 4.6847
_cell_length_b 19.8287
_cell_length_c 7.2107
_cell_angle_alpha 90.00
_cell_angle_beta 90.00
_cell_angle_gamma 90.00
loop_
_atom_site_label
_atom_site_type_symbol
_atom_site_fract_x
_atom_site_fract_y
_atom_site_fract_z
Pr1 Pr 0.0000 0.0445 0.2500
Pr2 Pr 0.0000 0.1617 0.7500
Cu1 Cu 0.0000 0.3024 0.5642
Sn1 Sn 0.0000 0.2183 0.2500
Sn2 Sn 0.0000 0.4292 0.0500
```

Peak list (10 most intense, 5 to 70 degrees two-theta, most intense first)
31.64°, intensity 100, hkl 1 1 2; 32.07°, intensity 79, hkl 1 5 1; 38.43°, intensity 50, hkl 2 0 0; 41.77°, intensity 26, hkl 0 4 3; 29.74°, intensity 26, hkl 0 6 1; 45.07°, intensity 23, hkl 1 7 2; 65.30°, intensity 20, hkl 2 0 4; 58.05°, intensity 20, hkl 2 4 3; 36.24°, intensity 20, hkl 0 8 0; 68.02°, intensity 16, hkl 1 11 3

For Pr6CuSn2, a cell relaxed with GGA-PBE gives the simulated PXRD pattern in this record (Cu Kα).
Peak positions follow from Bragg's law for the DFT cell and can differ from measured ones.

Atomic structure:
```
data_Pr6CuSn2
_chemical_formula_sum 'Pr6 Cu1 Sn2'
_space_group_name_H-M_alt 'P -6 2 m'
_space_group_IT_number 189
_space_group_name_Hall 'P -6 -2'
_cell_length_a 8.5075
_cell_length_b 8.5075
_cell_length_c 4.4200
_cell_angle_alpha 90.00
_cell_angle_beta 90.00
_cell_angle_gamma 120.00
loop_
_atom_site_label
_atom_site_type_symbol
_atom_site_fract_x
_atom_site_fract_y
_atom_site_fract_z
Pr1 Pr 0.0000 0.4191 0.0000
Pr2 Pr 0.0000 0.7594 0.5000
Cu1 Cu 0.0000 0.0000 0.0000
Sn1 Sn 0.3333 0.6667 0.5000
```

Peak list (10 most intense, 5 to 70 degrees two-theta, most intense first)
29.14°, intensity 100, hkl 1 1 1; 31.62°, intensity 96, hkl 2 0 1; 32.14°, intensity 74, hkl 2 1 0; 52.89°, intensity 37, hkl 2 1 2; 58.46°, intensity 30, hkl 3 2 1; 38.20°, intensity 29, hkl 2 1 1; 40.83°, intensity 28, hkl 0 0 2; 36.59°, intensity 24, hkl 3 0 0; 49.12°, intensity 22, hkl 3 1 1; 61.36°, intensity 16, hkl 4 1 1

For Pr2Cu3Sn6, a cell relaxed with GGA-PBE gives the simulated PXRD pattern in this record (Cu Kα).
Peak positions follow from Bragg's law for the DFT cell and can differ from measured ones.

Atomic structure:
```
data_Pr2Cu3Sn6
_chemical_formula_sum 'Pr4 Cu6 Sn12'
_space_group_name_H-M_alt 'I 4 m m'
_space_group_IT_number 107
_space_group_name_Hall 'I 4 -2'
_cell_length_a 4.5104
_cell_length_b 4.5104
_cell_length_c 25.8599
_cell_angle_alpha 90.00
_cell_angle_beta 90.00
_cell_angle_gamma 90.00
loop_
_atom_site_label
_atom_site_type_symbol
_atom_site_fract_x
_atom_site_fract_y
_atom_site_fract_z
Pr1 Pr 0.0000 0.0000 0.0000
Pr2 Pr 0.0000 0.0000 0.3129
Cu1 Cu 0.0000 0.0000 0.7615
Cu2 Cu 0.0000 0.5000 0.4103
Sn1 Sn 0.0000 0.0000 0.4667
Sn2 Sn 0.0000 0.0000 0.8589
Sn3 Sn 0.0000 0.5000 0.0958
Sn4 Sn 0.0000 0.5000 0.2080
```

Peak list (10 most intense, 5 to 70 degrees two-theta, most intense first)
39.98°, intensity 100, hkl 2 0 0; 35.00°, intensity 96, hkl 1 1 6; 31.28°, intensity 93, hkl 1 1 4; 28.83°, intensity 85, hkl 1 1 2; 65.92°, intensity 35, hkl 3 1 2; 57.82°, intensity 34, hkl 2 2 0; 45.14°, intensity 34, hkl 1 1 10; 69.41°, intensity 27, hkl 3 1 6; 51.63°, intensity 23, hkl 2 1 7; 27.59°, intensity 21, hkl 0 0 8

For Tb4PrCu, a cell relaxed with GGA-PBE gives the simulated PXRD pattern in this record (Cu Kα).
Peak positions follow from Bragg's law for the DFT cell and can differ from measured ones.

Atomic structure:
```
data_Tb4PrCu
_chemical_formula_sum 'Tb4 Pr1 Cu1'
_space_group_name_H-M_alt 'P 4/m m m'
_space_group_IT_number 123
_space_group_name_Hall '-P 4 2'
_cell_length_a 3.5656
_cell_length_b 3.5656
_cell_length_c 13.7443
_cell_angle_alpha 90.00
_cell_angle_beta 90.00
_cell_angle_gamma 90.00
loop_
_atom_site_label
_atom_site_type_symbol
_atom_site_fract_x
_atom_site_fract_y
_atom_site_fract_z
Tb1 Tb 0.0000 0.0000 0.1226
Tb2 Tb 0.5000 0.5000 0.3110
Pr1 Pr 0.0000 0.0000 0.5000
Cu1 Cu 0.5000 0.5000 0.0000
```

Peak list (10 most intense, 5 to 70 degrees two-theta, most intense first)
31.80°, intensity 100, hkl 1 0 3; 35.61°, intensity 52, hkl 1 1 0; 61.58°, intensity 30, hkl 2 1 3; 28.20°, intensity 26, hkl 1 0 2; 49.03°, intensity 22, hkl 1 1 5; 59.74°, intensity 18, hkl 1 0 8; 51.24°, intensity 18, hkl 2 0 0; 32.57°, intensity 17, hkl 0 0 5; 62.05°, intensity 11, hkl 2 0 5; 36.31°, intensity 9, hkl 1 0 4

For PrCu2Te3, a cell relaxed with GGA-PBE gives the simulated PXRD pattern in this record (Cu Kα).
Peak positions follow from Bragg's law for the DFT cell and can differ from measured ones.

Atomic structure:
```
data_PrCu2Te3
_chemical_formula_sum 'Pr2 Cu4 Te6'
_space_group_name_H-M_alt 'P m m n'
_space_group_IT_number 59
_cell_length_a 6.1841
_cell_length_b 12.0914
_cell_length_c 4.6406
_cell_angle_alpha 90.00
_cell_angle_beta 90.00
_cell_angle_gamma 90.00
loop_
_space_group_symop_operation_xyz
'x,y,z'
'-x,-y,-z'
'-x+1/2,-y+1/2,z'
'x+1/2,y+1/2,-z'
'x+1/2,-y,-z'
'-x+1/2,y,z'
'-x,y+1/2,-z'
'x,-y+1/2,z'
loop_
_atom_site_label
_atom_site_type_symbol
_atom_site_fract_x
_atom_site_fract_y
_atom_site_fract_z
Pr1 Pr 0.2500 0.2500 0.0190
Cu1 Cu 0.2500 0.6393 0.5410
Te1 Te 0.2500 0.0724 0.5064
Te2 Te 0.2500 0.7500 0.0341
```

Peak list (10 most intense, 5 to 70 degrees two-theta, most intense first)
24.18°, intensity 100, hkl 0 2 1; 28.88°, intensity 89, hkl 2 0 0; 38.00°, intensity 61, hkl 2 2 1; 35.44°, intensity 49, hkl 0 4 1; 46.34°, intensity 45, hkl 2 4 1; 49.09°, intensity 36, hkl 2 0 2; 38.81°, intensity 36, hkl 0 0 2; 32.80°, intensity 23, hkl 1 3 1; 44.73°, intensity 22, hkl 1 5 1; 14.65°, intensity 20, hkl 0 2 0

For Pr5CuTe4, a cell relaxed with GGA-PBE gives the simulated PXRD pattern in this record (Cu Kα).
Peak positions follow from Bragg's law for the DFT cell and can differ from measured ones.

Atomic structure:
```
data_Pr5CuTe4
_chemical_formula_sum 'Pr10 Cu2 Te8'
_space_group_name_H-M_alt 'I 4/m'
_space_group_IT_number 87
_space_group_name_Hall '-I 4'
_cell_length_a 9.9841
_cell_length_b 9.9841
_cell_length_c 6.3766
_cell_angle_alpha 90.00
_cell_angle_beta 90.00
_cell_angle_gamma 90.00
loop_
_atom_site_label
_atom_site_type_symbol
_atom_site_fract_x
_atom_site_fract_y
_atom_site_fract_z
Pr1 Pr 0.0000 0.0000 0.0000
Pr2 Pr 0.0981 0.2823 0.5000
Cu1 Cu 0.0000 0.0000 0.5000
Te1 Te 0.0915 0.3049 0.0000
```

Peak list (10 most intense, 5 to 70 degrees two-theta, most intense first)
28.27°, intensity 100, hkl 1 3 0; 40.20°, intensity 77, hkl 1 3 2; 27.99°, intensity 52, hkl 0 0 2; 49.87°, intensity 39, hkl 4 2 2; 40.40°, intensity 36, hkl 4 2 0; 65.60°, intensity 18, hkl 1 3 4; 66.04°, intensity 16, hkl 2 6 2; 66.18°, intensity 15, hkl 7 1 0; 58.46°, intensity 11, hkl 2 6 0; 57.84°, intensity 7, hkl 0 0 4

For PrThCu4, a cell relaxed with GGA-PBE gives the simulated PXRD pattern in this record (Cu Kα).
Peak positions follow from Bragg's law for the DFT cell and can differ from measured ones.

Atomic structure:
```
data_PrThCu4
_chemical_formula_sum 'Pr2 Th2 Cu8'
_space_group_name_H-M_alt 'I -4 m 2'
_space_group_IT_number 119
_space_group_name_Hall 'I -4 -2'
_cell_length_a 3.9461
_cell_length_b 3.9461
_cell_length_c 15.6373
_cell_angle_alpha 90.00
_cell_angle_beta 90.00
_cell_angle_gamma 90.00
loop_
_atom_site_label
_atom_site_type_symbol
_atom_site_fract_x
_atom_site_fract_y
_atom_site_fract_z
Pr1 Pr 0.0000 0.0000 0.0000
Th1 Th 0.0000 0.5000 0.2500
Cu1 Cu 0.0000 0.0000 0.4192
Cu2 Cu 0.0000 0.5000 0.6708
```

Peak list (10 most intense, 5 to 70 degrees two-theta, most intense first)
34.12°, intensity 100, hkl 1 1 2; 36.66°, intensity 55, hkl 1 0 5; 28.37°, intensity 38, hkl 1 0 3; 46.00°, intensity 34, hkl 2 0 0; 46.73°, intensity 31, hkl 1 0 7; 60.21°, intensity 26, hkl 2 1 5; 67.66°, intensity 20, hkl 2 1 7; 22.75°, intensity 16, hkl 0 0 4; 54.93°, intensity 13, hkl 2 1 3; 67.09°, intensity 11, hkl 2 2 0

For PrThCu2, a cell relaxed with GGA-PBE gives the simulated PXRD pattern in this record (Cu Kα).
Peak positions follow from Bragg's law for the DFT cell and can differ from measured ones.

Atomic structure:
```
data_PrThCu2
_chemical_formula_sum 'Pr1 Th1 Cu2'
_space_group_name_H-M_alt 'P 4/m m m'
_space_group_IT_number 123
_space_group_name_Hall '-P 4 2'
_cell_length_a 3.5757
_cell_length_b 3.5757
_cell_length_c 7.2943
_cell_angle_alpha 90.00
_cell_angle_beta 90.00
_cell_angle_gamma 90.00
loop_
_atom_site_label
_atom_site_type_symbol
_atom_site_fract_x
_atom_site_fract_y
_atom_site_fract_z
Pr1 Pr 0.0000 0.0000 0.0000
Th1 Th 0.0000 0.0000 0.5000
Cu1 Cu 0.5000 0.5000 0.2583
```

Peak list (10 most intense, 5 to 70 degrees two-theta, most intense first)
35.15°, intensity 100, hkl 1 0 2; 35.51°, intensity 49, hkl 1 1 0; 63.53°, intensity 35, hkl 2 1 2; 24.90°, intensity 24, hkl 1 0 0; 62.83°, intensity 18, hkl 1 1 4; 51.09°, intensity 17, hkl 2 0 0; 24.41°, intensity 13, hkl 0 0 2; 43.56°, intensity 11, hkl 1 1 2; 50.02°, intensity 9, hkl 0 0 4; 12.13°, intensity 9, hkl 0 0 1